For Hf2Ni7, a DFT-relaxed cell (PBE, Alexandria) gives the calculated X-ray powder pattern in this record (Cu Ka).
Intensities are scaled so that the largest is 100.

Structure:
```
data_Hf2Ni7
_cell_length_a 4.6665
_cell_length_b 8.1958
_cell_length_c 6.2670
_cell_angle_alpha 90.00
_cell_angle_beta 106.06
_cell_angle_gamma 90.00
_symmetry_space_group_name_H-M 'C 1 2/m 1'
_symmetry_Int_Tables_number 12
_symmetry_space_group_name_Hall '-C 2y'
loop_
_atom_site_label
_atom_site_type_symbol
_atom_site_fract_x
_atom_site_fract_y
_atom_site_fract_z
_atom_site_occupancy
Hf1 Hf 0.1066 0.0000 0.2713 1
Ni1 Ni 0.0000 0.5000 0.0000 1
Ni2 Ni 0.1282 0.3356 0.3448 1
Ni3 Ni 0.2500 0.2500 0.0000 1
```

Peak list (12 most intense, 10° ≤ 2θ ≤ 80°, by angle)
Position (°2θ)  I_rel  h k l
32.8  44  1 1 -2
37.0  59  0 2 2
38.6  63  1 3 0
38.8  47  2 0 -1
42.0  35  1 1 2
43.1  33  2 0 -2
43.6  95  1 3 1
44.9  47  2 2 -1
45.2  44  0 0 3
45.6  100  1 3 -2
47.0  45  2 0 1
76.6  31  3 3 -3

For Hf2Ni, a DFT-relaxed cell (PBE, Alexandria) gives the calculated X-ray powder pattern in this record (Cu Ka).
Intensities are scaled so that the largest is 100.

Structure:
```
data_Hf2Ni
_cell_length_a 6.4123
_cell_length_b 6.4123
_cell_length_c 5.2405
_cell_angle_alpha 90.00
_cell_angle_beta 90.00
_cell_angle_gamma 90.00
_symmetry_space_group_name_H-M 'I 4/m c m'
_symmetry_Int_Tables_number 140
_symmetry_space_group_name_Hall '-I 4 2c'
loop_
_atom_site_label
_atom_site_type_symbol
_atom_site_fract_x
_atom_site_fract_y
_atom_site_fract_z
_atom_site_occupancy
Hf1 Hf 0.1641 0.3359 0.0000 1
Ni1 Ni 0.0000 0.0000 0.2500 1
```

Peak list (12 most intense, 10° ≤ 2θ ≤ 80°, by angle)
Position (°2θ)  I_rel  h k l
19.6  1  1 1 0
27.8  7  2 0 0
34.2  16  0 0 2
35.7  100  2 1 1
39.7  19  1 1 2
44.7  43  3 1 0
57.5  7  4 0 0
61.3  6  3 3 0
62.2  38  2 1 3
65.0  3  4 2 0
68.6  7  4 0 2
72.1  20  0 0 4

For Hf6Ni23, a DFT-relaxed cell (PBE, Alexandria) gives the calculated X-ray powder pattern in this record (Cu Ka).
Intensities are scaled so that the largest is 100.

Structure:
```
data_Hf6Ni23
_cell_length_a 11.4221
_cell_length_b 11.4221
_cell_length_c 11.4221
_cell_angle_alpha 90.00
_cell_angle_beta 90.00
_cell_angle_gamma 90.00
_symmetry_space_group_name_H-M 'F m -3 m'
_symmetry_Int_Tables_number 225
_symmetry_space_group_name_Hall '-F 4 2 3'
loop_
_atom_site_label
_atom_site_type_symbol
_atom_site_fract_x
_atom_site_fract_y
_atom_site_fract_z
_atom_site_occupancy
Hf1 Hf 0.0000 0.0000 0.2131 1
Ni1 Ni 0.0000 0.0000 0.5000 1
Ni2 Ni 0.0000 0.2500 0.2500 1
Ni3 Ni 0.1201 0.1201 0.3799 1
Ni4 Ni 0.1702 0.1702 0.1702 1
```

Peak list (12 most intense, 10° ≤ 2θ ≤ 80°, by angle)
Position (°2θ)  I_rel  h k l
27.0  25  2 2 2
31.3  16  4 0 0
34.2  15  3 3 1
38.6  28  4 2 2
41.1  72  3 3 3
44.9  100  4 4 0
47.8  12  6 0 0
57.6  11  5 5 1
62.5  16  7 3 1
67.1  12  7 3 3
69.9  16  8 2 2
71.5  9  5 5 5

For Hf2Ni, a DFT-relaxed cell (PBE, Alexandria) gives the calculated X-ray powder pattern in this record (Cu Ka).
Intensities are scaled so that the largest is 100.

Structure:
```
data_Hf2Ni
_cell_length_a 10.5272
_cell_length_b 3.2217
_cell_length_c 7.7902
_cell_angle_alpha 90.00
_cell_angle_beta 123.64
_cell_angle_gamma 90.00
_symmetry_space_group_name_H-M 'C 1 2/m 1'
_symmetry_Int_Tables_number 12
_symmetry_space_group_name_Hall '-C 2y'
loop_
_atom_site_label
_atom_site_type_symbol
_atom_site_fract_x
_atom_site_fract_y
_atom_site_fract_z
_atom_site_occupancy
Hf1 Hf 0.0784 0.0000 0.3537 1
Hf2 Hf 0.1599 0.5000 0.0664 1
Ni1 Ni 0.1363 0.5000 0.6580 1
```

Peak list (12 most intense, 10° ≤ 2θ ≤ 80°, by angle)
Position (°2θ)  I_rel  h k l
30.3  49  2 0 1
34.4  53  4 0 -2
34.6  36  2 0 -3
35.1  45  1 1 1
36.6  100  1 1 -2
38.1  67  3 1 -1
41.2  20  4 0 0
41.8  67  0 0 3
57.2  23  0 2 0
59.3  33  5 1 -4
60.4  22  3 1 2
68.9  24  7 1 -3